Record 1
Structure and computed powder X-ray diffraction pattern of Tb2Pm12In (the GGA-PBE geometry in Alexandria; λ = 1.5418 Å (Cu Kα)).
Intensities are scaled so that the largest is 100.

Main lines, low angle first (10° ≤ 2θ ≤ 90°):
- 2θ 22.48, I 27
- 2θ 24.07, I 26
- 2θ 27.72, I 100
- 2θ 29.44, I 39
- 2θ 30.69, I 50
- 2θ 32.76, I 27
- 2θ 35.14, I 47
- 2θ 35.73, I 26
- 2θ 38.05, I 62
- 2θ 53.19, I 42

Crystal structure
```
30
Lattice="6.688 0.000 0.000 0.000 6.688 0.000 0.000 0.000 23.729" Properties=species:S:1:pos:R:3 pbc="T T T"
Tb 1.672 5.016 5.904
Tb 1.672 5.016 17.824
Tb 5.016 1.672 5.904
Tb 5.016 1.672 17.824
Pm 0.025 3.369 2.192
Pm 0.025 6.664 21.536
Pm 0.559 3.904 13.419
Pm 0.559 6.129 10.309
Pm 1.672 1.672 4.741
Pm 1.672 1.672 7.779
Pm 1.672 1.672 15.949
Pm 1.672 1.672 18.987
Pm 2.785 3.904 10.309
Pm 2.785 6.129 13.419
Pm 3.320 3.369 21.536
Pm 3.320 6.664 2.192
Pm 3.369 0.025 21.536
Pm 3.369 3.320 2.192
Pm 3.904 0.559 10.309
Pm 3.904 2.785 13.419
Pm 5.016 5.016 4.741
Pm 5.016 5.016 7.779
Pm 5.016 5.016 15.949
Pm 5.016 5.016 18.987
Pm 6.129 0.559 13.419
Pm 6.129 2.785 10.309
Pm 6.664 0.025 2.192
Pm 6.664 3.320 21.536
In 1.672 5.016 0.000
In 5.016 1.672 0.000
```

Record 2
Structure and computed powder X-ray diffraction pattern of NdHgBiPb (the GGA-PBE geometry in Alexandria; λ = 1.5418 Å (Cu Kα)).
Intensities are scaled so that the largest is 100.

Main lines, low angle first (10° ≤ 2θ ≤ 90°):
- 2θ 31.89, I 100
- 2θ 35.60, I 19
- 2θ 37.09, I 17
- 2θ 38.25, I 15
- 2θ 52.36, I 13
- 2θ 53.24, I 12
- 2θ 61.63, I 16
- 2θ 63.62, I 14
- 2θ 65.18, I 13
- 2θ 66.66, I 12

Crystal structure
```
4
Lattice="4.706 0.000 0.000 0.000 4.848 0.000 0.000 0.000 5.043" Properties=species:S:1:pos:R:3 pbc="T T T"
Nd 0.000 0.000 0.000
Hg 0.000 2.424 2.522
Bi 2.353 2.424 0.000
Pb 2.353 0.000 2.522
```

Record 3
Structure and computed powder X-ray diffraction pattern of Nd7Sm4Hg (the GGA-PBE geometry in Alexandria; λ = 1.5418 Å (Cu Kα)).
Intensities are scaled so that the largest is 100.

Main lines, low angle first (10° ≤ 2θ ≤ 90°):
- 2θ 29.86, I 100
- 2θ 30.83, I 26
- 2θ 34.90, I 61
- 2θ 49.55, I 26
- 2θ 50.82, I 14
- 2θ 58.93, I 15
- 2θ 59.50, I 23
- 2θ 62.03, I 11
- 2θ 80.51, I 12
- 2θ 83.24, I 10

Crystal structure
```
12
Lattice="3.679 0.000 0.000 -1.840 3.186 0.000 0.000 0.000 34.802" Properties=species:S:1:pos:R:3 pbc="T T T"
Nd 0.000 0.000 0.000
Nd 0.000 0.000 8.955
Nd 0.000 0.000 25.847
Nd 0.000 2.124 5.952
Nd 0.000 2.124 14.883
Nd 1.840 1.062 19.919
Nd 1.840 1.062 28.851
Sm 0.000 2.124 22.862
Sm 0.000 2.124 31.825
Sm 1.840 1.062 2.978
Sm 1.840 1.062 11.940
Hg 0.000 0.000 17.401
```

Record 4
Structure and computed powder X-ray diffraction pattern of Tb7Dy2Ho3 (the GGA-PBE geometry in Alexandria; λ = 1.5418 Å (Cu Kα)).
Intensities are scaled so that the largest is 100.

Main lines, low angle first (10° ≤ 2θ ≤ 90°):
- 2θ 28.53, I 18
- 2θ 30.57, I 41
- 2θ 31.43, I 25
- 2θ 31.55, I 58
- 2θ 31.87, I 100
- 2θ 34.00, I 35
- 2θ 34.86, I 27
- 2θ 45.13, I 19
- 2θ 56.38, I 20
- 2θ 61.23, I 18

Crystal structure
```
12
Lattice="2.836 -18.770 0.000 2.836 18.770 0.000 0.000 0.000 3.580" Properties=species:S:1:pos:R:3 pbc="T T T"
Tb 0.000 0.000 0.000
Tb 2.836 16.068 1.790
Tb 2.836 10.090 0.000
Tb 2.836 3.451 0.000
Tb 2.836 -3.451 0.000
Tb 2.836 -10.090 0.000
Tb 2.836 -16.068 1.790
Dy 2.836 13.219 0.000
Dy 2.836 -13.219 0.000
Ho 2.836 6.940 1.790
Ho 2.836 0.000 1.790
Ho 2.836 -6.940 1.790
```

- What is the formula in the second record?
  NdHgBiPb